Simulated XRD peak list
Compound: MgTe2Mo2WSe2S2
Radiation: CuKα
Structure: a PBE-relaxed structure

Atomic structure:
Lattice parameters (Å, degrees): 3.3482 3.3483 30.9311 90.00 90.00 120.00
Sites, in units of the cell vectors:
Mg: 0.0000 0.0000 0.0000
Te: 0.9840 0.9847 0.6611
Te: 0.9840 0.9847 0.7842
Mo: 0.6507 0.3180 0.2600
Mo: 0.9841 0.9848 0.4913
W: 0.6507 0.3180 0.7227
Se: 0.9840 0.9846 0.2062
Se: 0.9840 0.9847 0.3138
S: 0.6507 0.3181 0.4424
S: 0.6507 0.3181 0.5403

Largest 10 diffraction maxima, low angle first, 10 to 90 degrees two-theta:
Position (°2θ), Rel. int., (hkl)
11.44, 100, 0 0 4
30.84, 34, 0 1 0
31.39, 11, 1 0 2
32.99, 15, 0 1 4
35.52, 47, 1 0 6
37.08, 47, 0 1 7
40.71, 23, 1 0 -9
42.74, 18, 0 1 -10
44.90, 33, 0 1 11
54.85, 27, 1 1 0